Starting from the GGA-PBE geometry in Alexandria, the powder X-ray diffraction pattern of Sc4Co4Ge7 was simulated for Cu Kα X-rays.
Kinematic intensities with the Lorentz-polarization factor, no thermal factor.

Largest 10 diffraction maxima, low angle first, 2θ = 10–80°:
- d = 4.193 Å, 2θ 21.19, I = 13
- d = 2.365 Å, 2θ 38.05, I = 100
- d = 2.344 Å, 2θ 38.40, I = 18
- d = 2.217 Å, 2θ 40.69, I = 55
- d = 2.210 Å, 2θ 40.83, I = 27
- d = 2.052 Å, 2θ 44.14, I = 19
- d = 2.004 Å, 2θ 45.24, I = 23
- d = 1.960 Å, 2θ 46.32, I = 23
- d = 1.741 Å, 2θ 52.56, I = 23
- d = 1.456 Å, 2θ 63.95, I = 20

Crystal structure
Unit cell a=9.733 b=9.733 c=9.733 alpha=94.13 beta=94.13 gamma=148.86
Fractional positions:
Sc 0.000 0.196 0.196
Sc 0.000 0.804 0.804
Sc 0.196 0.000 0.196
Sc 0.359 0.359 0.719
Sc 0.359 0.641 0.000
Sc 0.641 0.359 0.000
Sc 0.641 0.641 0.281
Sc 0.804 0.000 0.804
Co 0.102 0.602 0.203
Co 0.102 0.898 0.500
Co 0.398 0.602 0.500
Co 0.398 0.898 0.797
Co 0.602 0.102 0.203
Co 0.602 0.398 0.500
Co 0.898 0.102 0.500
Co 0.898 0.398 0.797
Ge 0.000 0.406 0.406
Ge 0.000 0.594 0.594
Ge 0.207 0.207 0.413
Ge 0.207 0.793 0.000
Ge 0.209 0.500 0.709
Ge 0.249 0.249 0.000
Ge 0.406 0.000 0.406
Ge 0.500 0.209 0.709
Ge 0.500 0.791 0.291
Ge 0.594 0.000 0.594
Ge 0.751 0.751 0.000
Ge 0.791 0.500 0.291
Ge 0.793 0.207 0.000
Ge 0.793 0.793 0.587

=====

Starting from the GGA-PBE geometry in Alexandria, the powder X-ray diffraction pattern of K3MnS3 was simulated for Cu Kα X-rays.
Kinematic intensities with the Lorentz-polarization factor, no thermal factor.

Largest 10 diffraction maxima, low angle first, 2θ = 10–80°:
- d = 6.489 Å, 2θ 13.65, I = 100
- d = 6.073 Å, 2θ 14.59, I = 59
- d = 5.284 Å, 2θ 16.78, I = 48
- d = 3.380 Å, 2θ 26.37, I = 70
- d = 3.337 Å, 2θ 26.71, I = 56
- d = 2.824 Å, 2θ 31.69, I = 93
- d = 2.775 Å, 2θ 32.26, I = 87
- d = 2.762 Å, 2θ 32.41, I = 62
- d = 2.732 Å, 2θ 32.78, I = 80
- d = 2.252 Å, 2θ 40.03, I = 71

Crystal structure
Unit cell a=8.830 b=7.676 c=12.226 alpha=90.00 beta=96.56 gamma=90.00
Fractional positions:
K 0.072 0.152 0.130
K 0.072 0.348 0.630
K 0.325 0.716 0.791
K 0.325 0.784 0.291
K 0.393 0.223 0.925
K 0.393 0.277 0.425
K 0.607 0.723 0.575
K 0.607 0.777 0.075
K 0.675 0.216 0.709
K 0.675 0.284 0.209
K 0.928 0.652 0.370
K 0.928 0.848 0.870
Mn 0.165 0.579 0.051
Mn 0.165 0.921 0.551
Mn 0.835 0.079 0.449
Mn 0.835 0.421 0.949
S 0.075 0.059 0.387
S 0.075 0.441 0.887
S 0.251 0.647 0.524
S 0.251 0.853 0.024
S 0.346 0.069 0.658
S 0.346 0.431 0.158
S 0.654 0.569 0.842
S 0.654 0.931 0.342
S 0.749 0.147 0.976
S 0.749 0.353 0.476
S 0.925 0.559 0.113
S 0.925 0.941 0.613

=====

Starting from the GGA-PBE geometry in Alexandria, the powder X-ray diffraction pattern of Ac2NpRu2N6 was simulated for Cu Kα X-rays.
Kinematic intensities with the Lorentz-polarization factor, no thermal factor.

Largest 10 diffraction maxima, low angle first, 2θ = 10–80°:
- d = 4.839 Å, 2θ 18.33, I = 14
- d = 3.349 Å, 2θ 26.62, I = 14
- d = 2.923 Å, 2θ 30.59, I = 96
- d = 2.901 Å, 2θ 30.82, I = 100
- d = 2.059 Å, 2θ 43.98, I = 38
- d = 1.692 Å, 2θ 54.22, I = 16
- d = 1.679 Å, 2θ 54.66, I = 40
- d = 1.675 Å, 2θ 54.81, I = 23
- d = 1.450 Å, 2θ 64.21, I = 17
- d = 1.299 Å, 2θ 72.79, I = 17

Crystal structure
Unit cell a=6.862 b=6.862 c=6.862 alpha=50.02 beta=50.02 gamma=50.02
Fractional positions:
Ac 0.213 0.213 0.213
Ac 0.787 0.787 0.787
Np 0.000 0.000 0.000
Ru 0.392 0.392 0.392
Ru 0.608 0.608 0.608
N 0.226 0.754 0.754
N 0.246 0.246 0.774
N 0.246 0.774 0.246
N 0.754 0.226 0.754
N 0.754 0.754 0.226
N 0.774 0.246 0.246

=====

Starting from the GGA-PBE geometry in Alexandria, the powder X-ray diffraction pattern of Li2SmY2Sn2 was simulated for Cu Kα X-rays.
Kinematic intensities with the Lorentz-polarization factor, no thermal factor.

Largest 10 diffraction maxima, low angle first, 2θ = 10–80°:
- d = 4.106 Å, 2θ 21.64, I = 72
- d = 3.535 Å, 2θ 25.19, I = 29
- d = 2.822 Å, 2θ 31.71, I = 79
- d = 2.614 Å, 2θ 34.30, I = 100
- d = 2.399 Å, 2θ 37.49, I = 96
- d = 1.828 Å, 2θ 49.90, I = 22
- d = 1.767 Å, 2θ 51.72, I = 31
- d = 1.454 Å, 2θ 64.05, I = 21
- d = 1.437 Å, 2θ 64.91, I = 33
- d = 1.423 Å, 2θ 65.61, I = 31

Crystal structure
Unit cell a=9.387 b=9.387 c=9.387 alpha=29.61 beta=29.61 gamma=29.61
Fractional positions:
Li 0.095 0.095 0.095
Li 0.905 0.905 0.905
Sm 0.500 0.500 0.500
Y 0.371 0.371 0.371
Y 0.629 0.629 0.629
Sn 0.238 0.238 0.238
Sn 0.762 0.762 0.762

=====

Starting from the GGA-PBE geometry in Alexandria, the powder X-ray diffraction pattern of TePbI2Br was simulated for Cu Kα X-rays.
Kinematic intensities with the Lorentz-polarization factor, no thermal factor.

Largest 10 diffraction maxima, low angle first, 2θ = 10–80°:
- d = 6.362 Å, 2θ 13.92, I = 39
- d = 6.116 Å, 2θ 14.48, I = 70
- d = 4.409 Å, 2θ 20.14, I = 29
- d = 3.576 Å, 2θ 24.90, I = 45
- d = 3.181 Å, 2θ 28.05, I = 55
- d = 3.058 Å, 2θ 29.21, I = 100
- d = 2.204 Å, 2θ 40.94, I = 80
- d = 2.162 Å, 2θ 41.78, I = 38
- d = 1.788 Å, 2θ 51.08, I = 42
- d = 1.256 Å, 2θ 75.70, I = 26

Crystal structure
Unit cell a=6.116 b=6.116 c=6.362 alpha=90.00 beta=90.00 gamma=90.00
Fractional positions:
Te 0.000 0.000 0.000
Pb 0.000 0.000 0.500
I 0.000 0.500 0.500
I 0.500 0.000 0.500
Br 0.500 0.500 0.000

=====

Starting from the GGA-PBE geometry in Alexandria, the powder X-ray diffraction pattern of CsNbTl2S4 was simulated for Cu Kα X-rays.
Kinematic intensities with the Lorentz-polarization factor, no thermal factor.

Largest 10 diffraction maxima, low angle first, 2θ = 10–80°:
- d = 4.854 Å, 2θ 18.28, I = 49
- d = 4.508 Å, 2θ 19.69, I = 33
- d = 3.794 Å, 2θ 23.45, I = 100
- d = 3.321 Å, 2θ 26.85, I = 43
- d = 3.069 Å, 2θ 29.09, I = 37
- d = 3.041 Å, 2θ 29.37, I = 42
- d = 2.915 Å, 2θ 30.67, I = 31
- d = 2.577 Å, 2θ 34.81, I = 33
- d = 2.182 Å, 2θ 41.37, I = 20
- d = 1.871 Å, 2θ 48.68, I = 24

Crystal structure
Unit cell a=12.164 b=7.111 c=6.642 alpha=90.00 beta=90.00 gamma=90.00
Fractional positions:
Cs 0.000 0.099 0.000
Cs 0.500 0.901 0.500
Nb 0.000 0.564 0.568
Nb 0.500 0.436 0.068
Tl 0.244 0.699 0.912
Tl 0.256 0.301 0.412
Tl 0.744 0.301 0.412
Tl 0.756 0.699 0.912
S 0.000 0.249 0.502
S 0.000 0.592 0.911
S 0.166 0.688 0.458
S 0.334 0.312 0.958
S 0.500 0.408 0.411
S 0.500 0.751 0.002
S 0.666 0.312 0.958
S 0.834 0.688 0.458

=====

Starting from the GGA-PBE geometry in Alexandria, the powder X-ray diffraction pattern of La2ZrAu was simulated for Cu Kα X-rays.
Kinematic intensities with the Lorentz-polarization factor, no thermal factor.

Largest 10 diffraction maxima, low angle first, 2θ = 10–80°:
- d = 2.883 Å, 2θ 31.01, I = 100
- d = 2.756 Å, 2θ 32.49, I = 46
- d = 2.629 Å, 2θ 34.10, I = 67
- d = 2.480 Å, 2θ 36.22, I = 41
- d = 2.409 Å, 2θ 37.32, I = 57
- d = 1.849 Å, 2θ 49.29, I = 17
- d = 1.844 Å, 2θ 49.44, I = 28
- d = 1.598 Å, 2θ 57.70, I = 19
- d = 1.512 Å, 2θ 61.29, I = 24
- d = 1.343 Å, 2θ 70.05, I = 21

Crystal structure
Unit cell a=3.698 b=4.961 c=6.470 alpha=90.00 beta=106.58 gamma=90.00
Fractional positions:
La 0.000 0.000 0.000
La 0.308 0.500 0.614
Zr 0.583 0.500 0.168
Au 0.721 0.000 0.441

=====

Starting from the GGA-PBE geometry in Alexandria, the powder X-ray diffraction pattern of Ca4ZrTi3Ge4O20 was simulated for Cu Kα X-rays.
Kinematic intensities with the Lorentz-polarization factor, no thermal factor.

Largest 10 diffraction maxima, low angle first, 2θ = 10–80°:
- d = 4.849 Å, 2θ 18.30, I = 25
- d = 3.391 Å, 2θ 26.28, I = 48
- d = 3.318 Å, 2θ 26.87, I = 62
- d = 3.097 Å, 2θ 28.82, I = 100
- d = 2.732 Å, 2θ 32.78, I = 55
- d = 2.713 Å, 2θ 33.01, I = 42
- d = 2.691 Å, 2θ 33.29, I = 47
- d = 2.666 Å, 2θ 33.62, I = 33
- d = 1.805 Å, 2θ 50.56, I = 22
- d = 1.767 Å, 2θ 51.72, I = 26

Crystal structure
Unit cell a=6.768 b=8.026 c=8.151 alpha=68.05 beta=87.81 gamma=85.89
Fractional positions:
Ca 0.134 0.048 0.186
Ca 0.348 0.472 0.311
Ca 0.652 0.528 0.689
Ca 0.866 0.952 0.814
Zr 0.500 0.000 0.500
Ti 0.000 0.500 0.000
Ti 0.250 0.257 0.749
Ti 0.750 0.743 0.251
Ge 0.120 0.692 0.558
Ge 0.372 0.806 0.948
Ge 0.628 0.194 0.052
Ge 0.880 0.308 0.442
O 0.026 0.701 0.353
O 0.045 0.337 0.260
O 0.134 0.313 0.941
O 0.192 0.992 0.898
O 0.219 0.905 0.494
O 0.260 0.599 0.003
O 0.311 0.517 0.609
O 0.353 0.208 0.555
O 0.455 0.165 0.227
O 0.475 0.782 0.153
O 0.525 0.218 0.847
O 0.545 0.835 0.773
O 0.647 0.792 0.445
O 0.689 0.483 0.391
O 0.740 0.401 0.997
O 0.781 0.095 0.506
O 0.808 0.008 0.102
O 0.866 0.687 0.059
O 0.955 0.663 0.740
O 0.974 0.299 0.647

=====

Starting from the GGA-PBE geometry in Alexandria, the powder X-ray diffraction pattern of KCuAsBr6 was simulated for Cu Kα X-rays.
Kinematic intensities with the Lorentz-polarization factor, no thermal factor.

Largest 10 diffraction maxima, low angle first, 2θ = 10–80°:
- d = 7.154 Å, 2θ 12.37, I = 100
- d = 4.490 Å, 2θ 19.77, I = 41
- d = 3.467 Å, 2θ 25.69, I = 76
- d = 3.153 Å, 2θ 28.31, I = 55
- d = 3.110 Å, 2θ 28.70, I = 46
- d = 3.006 Å, 2θ 29.72, I = 95
- d = 2.755 Å, 2θ 32.50, I = 43
- d = 2.395 Å, 2θ 37.55, I = 92
- d = 2.070 Å, 2θ 43.74, I = 53
- d = 2.013 Å, 2θ 45.04, I = 36

Crystal structure
Unit cell a=6.858 b=6.863 c=7.218 alpha=94.11 beta=94.12 gamma=114.40
Fractional positions:
K 0.000 0.000 0.000
Cu 0.695 0.311 0.497
As 0.347 0.656 0.501
Br 0.038 0.352 0.670
Br 0.046 0.627 0.264
Br 0.376 0.953 0.740
Br 0.435 0.348 0.270
Br 0.648 0.964 0.328
Br 0.654 0.566 0.728

=====

Starting from the GGA-PBE geometry in Alexandria, the powder X-ray diffraction pattern of K2VGaSe4 was simulated for Cu Kα X-rays.
Kinematic intensities with the Lorentz-polarization factor, no thermal factor.

Largest 10 diffraction maxima, low angle first, 2θ = 10–80°:
- d = 5.847 Å, 2θ 15.15, I = 60
- d = 5.716 Å, 2θ 15.50, I = 91
- d = 3.619 Å, 2θ 24.60, I = 33
- d = 3.315 Å, 2θ 26.89, I = 92
- d = 2.920 Å, 2θ 30.61, I = 37
- d = 2.884 Å, 2θ 31.01, I = 100
- d = 2.546 Å, 2θ 35.24, I = 48
- d = 2.301 Å, 2θ 39.15, I = 40
- d = 1.920 Å, 2θ 47.34, I = 39
- d = 1.833 Å, 2θ 49.75, I = 61

Crystal structure
Unit cell a=13.404 b=12.167 c=7.365 alpha=82.75 beta=64.23 gamma=33.03
Fractional positions:
K 0.056 0.056 0.694
K 0.306 0.306 0.944
K 0.694 0.694 0.056
K 0.944 0.944 0.306
V 0.375 0.375 0.375
V 0.625 0.625 0.625
Ga 0.125 0.125 0.125
Ga 0.875 0.875 0.875
Se 0.002 0.356 0.438
Se 0.295 0.562 0.644
Se 0.356 0.002 0.705
Se 0.438 0.705 0.002
Se 0.562 0.295 0.998
Se 0.644 0.998 0.295
Se 0.705 0.438 0.356
Se 0.998 0.644 0.562

=====

Starting from the GGA-PBE geometry in Alexandria, the powder X-ray diffraction pattern of Er6HgN was simulated for Cu Kα X-rays.
Kinematic intensities with the Lorentz-polarization factor, no thermal factor.

Largest 10 diffraction maxima, low angle first, 2θ = 10–80°:
- d = 4.738 Å, 2θ 18.73, I = 9
- d = 3.459 Å, 2θ 25.76, I = 11
- d = 2.977 Å, 2θ 30.02, I = 11
- d = 2.922 Å, 2θ 30.60, I = 17
- d = 2.842 Å, 2θ 31.48, I = 100
- d = 2.780 Å, 2θ 32.20, I = 22
- d = 2.175 Å, 2θ 41.53, I = 27
- d = 2.170 Å, 2θ 41.62, I = 9
- d = 1.878 Å, 2θ 48.47, I = 15
- d = 1.670 Å, 2θ 54.97, I = 12

Crystal structure
Unit cell a=6.495 b=6.506 c=6.938 alpha=90.09 beta=117.80 gamma=119.92
Fractional positions:
Er 0.066 0.100 0.269
Er 0.303 0.703 0.269
Er 0.329 0.533 0.731
Er 0.671 0.467 0.269
Er 0.697 0.297 0.731
Er 0.934 0.900 0.731
Hg 0.500 0.000 0.000
N 0.500 0.500 0.500

=====

Starting from the GGA-PBE geometry in Alexandria, the powder X-ray diffraction pattern of Nd6Mn3S14 was simulated for Cu Kα X-rays.
Kinematic intensities with the Lorentz-polarization factor, no thermal factor.

Largest 10 diffraction maxima, low angle first, 2θ = 10–80°:
- d = 4.876 Å, 2θ 18.19, I = 31
- d = 3.823 Å, 2θ 23.27, I = 27
- d = 3.501 Å, 2θ 25.44, I = 100
- d = 3.292 Å, 2θ 27.09, I = 25
- d = 2.604 Å, 2θ 34.45, I = 33
- d = 2.514 Å, 2θ 35.71, I = 33
- d = 2.438 Å, 2θ 36.87, I = 33
- d = 2.235 Å, 2θ 40.36, I = 35
- d = 2.194 Å, 2θ 41.15, I = 30
- d = 1.809 Å, 2θ 50.46, I = 25

Crystal structure
Unit cell a=10.057 b=10.057 c=5.885 alpha=90.00 beta=90.00 gamma=120.00
Fractional positions:
Nd 0.036 0.562 0.000
Nd 0.293 0.102 0.496
Nd 0.438 0.474 0.000
Nd 0.526 0.964 0.000
Nd 0.809 0.707 0.496
Nd 0.898 0.191 0.496
Mn 0.000 0.000 0.906
Mn 0.333 0.667 0.406
Mn 0.667 0.333 0.271
S 0.000 0.000 0.287
S 0.087 0.845 0.769
S 0.155 0.242 0.769
S 0.185 0.429 0.268
S 0.244 0.815 0.268
S 0.333 0.667 0.781
S 0.435 0.192 0.044
S 0.520 0.419 0.488
S 0.571 0.756 0.268
S 0.581 0.101 0.488
S 0.757 0.565 0.044
S 0.758 0.913 0.769
S 0.808 0.243 0.044
S 0.899 0.480 0.488